1.
This entry pairs a crystal structure of KSmPO with its calculated X-ray powder pattern. Radiation: Cu Ka. Structure: a structure optimized by DFT (GGA-PBE).
Peak positions follow from Bragg's law for the DFT cell and can differ from measured ones.

Atomic structure:
```
data_KSmPO
_cell_length_a 3.5272
_cell_length_b 7.8100
_cell_length_c 7.6180
_cell_angle_alpha 90.00
_cell_angle_beta 90.00
_cell_angle_gamma 90.00
_symmetry_space_group_name_H-M 'P 1'
_symmetry_Int_Tables_number 1
loop_
_symmetry_equiv_pos_as_xyz
'x,y,z'
loop_
_atom_site_label
_atom_site_fract_x
_atom_site_fract_y
_atom_site_fract_z
_atom_site_occupancy
K1 0.0000 0.0432 0.0000 1
K2 0.0000 0.9568 0.5000 1
Sm1 0.5000 0.3784 0.3580 1
Sm2 0.5000 0.6216 0.8580 1
P1 0.5000 0.2826 0.7214 1
P2 0.5000 0.7174 0.2214 1
O1 0.0000 0.2445 0.2728 1
O2 0.0000 0.7555 0.7728 1
```

Top 10 peaks for 2θ from 10° to 90°, in order of rising 2θ:
2θ/deg, I_rel
11.33, 68.7
16.25, 99.2
23.35, 54.1
25.63, 100.0
26.03, 60.8
27.75, 81.2
34.66, 45.6
36.29, 55.7
44.88, 46.2
50.05, 41.6

---

2.
This entry pairs a crystal structure of Sr2TmAl7Ag2 with its calculated X-ray powder pattern. Radiation: Cu Ka. Structure: a structure optimized by DFT (GGA-PBE).
Peak positions follow from Bragg's law for the DFT cell and can differ from measured ones.

Atomic structure:
```
data_Sr2TmAl7Ag2
_cell_length_a 9.6282
_cell_length_b 9.6282
_cell_length_c 9.6282
_cell_angle_alpha 34.24
_cell_angle_beta 34.24
_cell_angle_gamma 34.24
_symmetry_space_group_name_H-M 'P 1'
_symmetry_Int_Tables_number 1
loop_
_symmetry_equiv_pos_as_xyz
'x,y,z'
loop_
_atom_site_label
_atom_site_fract_x
_atom_site_fract_y
_atom_site_fract_z
_atom_site_occupancy
Sr1 0.1425 0.1425 0.1425 1
Sr2 0.8575 0.8575 0.8575 1
Tm1 0.0000 0.0000 0.0000 1
Al1 0.0744 0.5824 0.5824 1
Al2 0.4176 0.4176 0.9256 1
Al3 0.4176 0.9256 0.4176 1
Al4 0.5000 0.5000 0.5000 1
Al5 0.5824 0.0744 0.5824 1
Al6 0.5824 0.5824 0.0744 1
Al7 0.9256 0.4176 0.4176 1
Ag1 0.3357 0.3357 0.3357 1
Ag2 0.6643 0.6643 0.6643 1
```

Top 10 peaks for 2θ from 10° to 90°, in order of rising 2θ:
2θ/deg, I_rel
19.61, 33.0
29.34, 15.6
31.56, 69.5
32.05, 14.9
33.12, 17.2
37.43, 100.0
43.82, 21.8
60.12, 24.3
60.68, 14.7
65.91, 15.7

---

3.
This entry pairs a crystal structure of Nb2Co2SiGe with its calculated X-ray powder pattern. Radiation: Cu Ka. Structure: a structure optimized by DFT (GGA-PBE).
Peak positions follow from Bragg's law for the DFT cell and can differ from measured ones.

Atomic structure:
```
data_Nb2Co2SiGe
_cell_length_a 10.1822
_cell_length_b 4.1440
_cell_length_c 10.1915
_cell_angle_alpha 90.00
_cell_angle_beta 109.29
_cell_angle_gamma 90.00
_symmetry_space_group_name_H-M 'P 1'
_symmetry_Int_Tables_number 1
loop_
_symmetry_equiv_pos_as_xyz
'x,y,z'
loop_
_atom_site_label
_atom_site_fract_x
_atom_site_fract_y
_atom_site_fract_z
_atom_site_occupancy
Nb1 0.0000 0.0000 0.0000 1
Nb2 0.1166 0.5000 0.3663 1
Nb3 0.2487 0.0000 0.7491 1
Nb4 0.3707 0.5000 0.1207 1
Nb5 0.4947 0.0000 0.4890 1
Nb6 0.6160 0.5000 0.8722 1
Nb7 0.7437 0.0000 0.2480 1
Nb8 0.8715 0.5000 0.6157 1
Co1 0.1237 0.5000 0.6213 1
Co2 0.2491 0.0000 0.9985 1
Co3 0.3665 0.5000 0.3650 1
Co4 0.4948 0.0000 0.7435 1
Co5 0.6191 0.5000 0.1238 1
Co6 0.7459 0.0000 0.4941 1
Co7 0.8718 0.5000 0.8715 1
Co8 0.9915 0.0000 0.2451 1
Si1 0.1234 0.5000 0.1209 1
Si2 0.3683 0.5000 0.8726 1
Si3 0.4937 0.0000 0.2407 1
Si4 0.8689 0.5000 0.3668 1
Ge1 0.2447 0.0000 0.4964 1
Ge2 0.6209 0.5000 0.6223 1
Ge3 0.7480 0.0000 0.9972 1
Ge4 0.9958 0.0000 0.7475 1
```

Top 10 peaks for 2θ from 10° to 90°, in order of rising 2θ:
2θ/deg, I_rel
26.27, 68.2
43.53, 100.0
43.69, 19.9
51.46, 10.1
51.64, 20.1
63.08, 6.3
63.41, 12.5
79.91, 12.4
80.01, 6.2
80.13, 12.4

---

4.
This entry pairs a crystal structure of Rb4Hf3S14 with its calculated X-ray powder pattern. Radiation: Cu Ka. Structure: a structure optimized by DFT (GGA-PBE).
Peak positions follow from Bragg's law for the DFT cell and can differ from measured ones.

Atomic structure:
```
data_Rb4Hf3S14
_cell_length_a 11.7032
_cell_length_b 11.7032
_cell_length_c 13.6261
_cell_angle_alpha 110.78
_cell_angle_beta 110.78
_cell_angle_gamma 41.51
_symmetry_space_group_name_H-M 'P 1'
_symmetry_Int_Tables_number 1
loop_
_symmetry_equiv_pos_as_xyz
'x,y,z'
loop_
_atom_site_label
_atom_site_fract_x
_atom_site_fract_y
_atom_site_fract_z
_atom_site_occupancy
Rb1 0.1156 0.4796 0.3901 1
Rb2 0.1731 0.6959 0.8562 1
Rb3 0.3041 0.8269 0.6438 1
Rb4 0.4796 0.1156 0.8901 1
Rb5 0.5204 0.8844 0.1099 1
Rb6 0.6959 0.1731 0.3562 1
Rb7 0.8269 0.3041 0.1438 1
Rb8 0.8844 0.5204 0.6099 1
Hf1 0.0846 0.5790 0.0880 1
Hf2 0.2658 0.7342 0.2500 1
Hf3 0.4210 0.9154 0.4120 1
Hf4 0.5790 0.0846 0.5880 1
Hf5 0.7342 0.2658 0.7500 1
Hf6 0.9154 0.4210 0.9120 1
S1 0.0146 0.8484 0.0836 1
S2 0.0664 0.7408 0.2944 1
S3 0.0683 0.4907 0.8965 1
S4 0.0917 0.1936 0.3912 1
S5 0.1516 0.9854 0.4164 1
S6 0.1936 0.0917 0.8912 1
S7 0.2592 0.9336 0.2056 1
S8 0.3049 0.6144 0.3966 1
S9 0.3057 0.3559 0.6689 1
S10 0.3559 0.3057 0.1689 1
S11 0.3856 0.6951 0.1034 1
S12 0.4039 0.4255 0.1318 1
S13 0.4255 0.4039 0.6318 1
S14 0.4907 0.0683 0.3965 1
S15 0.5093 0.9317 0.6035 1
S16 0.5745 0.5961 0.3682 1
S17 0.5961 0.5745 0.8682 1
S18 0.6144 0.3049 0.8966 1
S19 0.6441 0.6943 0.8311 1
S20 0.6943 0.6441 0.3311 1
S21 0.6951 0.3856 0.6034 1
S22 0.7408 0.0664 0.7944 1
S23 0.8064 0.9083 0.1088 1
S24 0.8484 0.0146 0.5836 1
S25 0.9083 0.8064 0.6088 1
S26 0.9317 0.5093 0.1035 1
S27 0.9336 0.2592 0.7056 1
S28 0.9854 0.1516 0.9164 1
```

Top 10 peaks for 2θ from 10° to 90°, in order of rising 2θ:
2θ/deg, I_rel
12.61, 100.0
13.44, 46.5
21.43, 33.8
22.92, 57.0
27.74, 19.4
30.93, 22.0
34.27, 18.3
38.48, 18.9
39.15, 20.0
39.49, 27.1

---

5.
This entry pairs a crystal structure of NdSmB2Pt8 with its calculated X-ray powder pattern. Radiation: Cu Ka. Structure: a structure optimized by DFT (GGA-PBE).
Peak positions follow from Bragg's law for the DFT cell and can differ from measured ones.

Atomic structure:
```
data_NdSmB2Pt8
_cell_length_a 5.4873
_cell_length_b 5.4873
_cell_length_c 7.6878
_cell_angle_alpha 90.00
_cell_angle_beta 90.00
_cell_angle_gamma 120.00
_symmetry_space_group_name_H-M 'P 1'
_symmetry_Int_Tables_number 1
loop_
_symmetry_equiv_pos_as_xyz
'x,y,z'
loop_
_atom_site_label
_atom_site_fract_x
_atom_site_fract_y
_atom_site_fract_z
_atom_site_occupancy
Nd1 0.0000 0.0000 0.0000 1
Sm1 0.0000 0.0000 0.5000 1
B1 0.3333 0.6667 0.5000 1
B2 0.6667 0.3333 0.5000 1
Pt1 0.0000 0.5000 0.3013 1
Pt2 0.0000 0.5000 0.6987 1
Pt3 0.3333 0.6667 0.0000 1
Pt4 0.5000 0.0000 0.3013 1
Pt5 0.5000 0.0000 0.6987 1
Pt6 0.5000 0.5000 0.3013 1
Pt7 0.5000 0.5000 0.6987 1
Pt8 0.6667 0.3333 0.0000 1
```

Top 10 peaks for 2θ from 10° to 90°, in order of rising 2θ:
2θ/deg, I_rel
18.67, 28.8
29.90, 36.0
34.72, 35.3
35.02, 42.1
37.86, 92.7
39.70, 32.2
40.39, 100.0
44.84, 51.0
68.38, 36.5
73.34, 32.9

---

6.
This entry pairs a crystal structure of TeMoS with its calculated X-ray powder pattern. Radiation: Cu Ka. Structure: a structure optimized by DFT (GGA-PBE).
Peak positions follow from Bragg's law for the DFT cell and can differ from measured ones.

Atomic structure:
```
data_TeMoS
_cell_length_a 3.3625
_cell_length_b 3.3625
_cell_length_c 13.3765
_cell_angle_alpha 90.00
_cell_angle_beta 90.00
_cell_angle_gamma 120.00
_symmetry_space_group_name_H-M 'P 1'
_symmetry_Int_Tables_number 1
loop_
_symmetry_equiv_pos_as_xyz
'x,y,z'
loop_
_atom_site_label
_atom_site_fract_x
_atom_site_fract_y
_atom_site_fract_z
_atom_site_occupancy
Te1 0.3333 0.6667 0.0000 1
Te2 0.6667 0.3333 0.5000 1
Mo1 0.3333 0.6667 0.3568 1
Mo2 0.6667 0.3333 0.8568 1
S1 0.3333 0.6667 0.7464 1
S2 0.6667 0.3333 0.2464 1
```

Top 10 peaks for 2θ from 10° to 90°, in order of rising 2θ:
2θ/deg, I_rel
13.24, 69.4
30.70, 34.7
31.44, 17.1
33.57, 11.3
36.87, 100.0
46.07, 36.7
54.59, 25.9
67.70, 16.2
70.10, 11.6
81.12, 13.5

---

7.
This entry pairs a crystal structure of HoEr2Al with its calculated X-ray powder pattern. Radiation: Cu Ka. Structure: a structure optimized by DFT (GGA-PBE).
Peak positions follow from Bragg's law for the DFT cell and can differ from measured ones.

Atomic structure:
```
data_HoEr2Al
_cell_length_a 4.9856
_cell_length_b 6.6672
_cell_length_c 6.6672
_cell_angle_alpha 102.53
_cell_angle_beta 90.00
_cell_angle_gamma 90.00
_symmetry_space_group_name_H-M 'P 1'
_symmetry_Int_Tables_number 1
loop_
_symmetry_equiv_pos_as_xyz
'x,y,z'
loop_
_atom_site_label
_atom_site_fract_x
_atom_site_fract_y
_atom_site_fract_z
_atom_site_occupancy
Ho1 0.2500 0.1114 0.8886 1
Ho2 0.7500 0.8886 0.1114 1
Er1 0.2500 0.5214 0.2985 1
Er2 0.2500 0.5863 0.8224 1
Er3 0.7500 0.2985 0.5214 1
Er4 0.7500 0.8224 0.5863 1
Al1 0.2500 0.0317 0.3799 1
Al2 0.7500 0.3799 0.0317 1
```

Top 10 peaks for 2θ from 10° to 90°, in order of rising 2θ:
2θ/deg, I_rel
22.46, 26.1
32.87, 100.0
33.30, 41.2
34.49, 24.0
36.03, 25.0
49.91, 13.1
50.73, 16.2
60.77, 12.7
62.78, 15.6
64.76, 11.6